This entry pairs a crystal structure of Ho2Er2Au3 with its computed powder diffraction line list. Radiation: CuKα. Structure: a DFT-relaxed cell (PBE, Alexandria).
Intensities are scaled so that the largest is 100.

Top 8 peaks for 2θ = 10–80°, in order of falling intensity:
index, 2θ/deg, I_rel
1 1 0, 36.0, 100
0 1 8, 35.7, 100
1 2 8, 64.5, 36
2 0 8, 51.6, 35
3 0 0, 64.7, 18
1 0 16, 63.9, 17
2 2 0, 76.3, 12
0 2 16, 75.5, 11

a = 4.9928 Å, b = 4.9928 Å, c = 24.7707 Å
α = 90.00°, β = 90.00°, γ = 120.00°
Space group R-3m (No. 166, hexagonal axes)
One atom of each set of equivalent atoms:
Ho  0.0000  0.0000  0.1249 [6 per cell]
Er  0.0000  0.0000  0.3753 [6 per cell]
Au  0.0000  0.0000  0.0000 [3 per cell]
Au  0.0000  0.0000  0.2444 [6 per cell]

This entry pairs a crystal structure of NdEr3 with its computed powder diffraction line list. Radiation: CuKα. Structure: a DFT-relaxed cell (PBE, Alexandria).
Intensities are scaled so that the largest is 100.

Top 8 peaks for 2θ = 10–80°, in order of falling intensity:
index, 2θ/deg, I_rel
2 0 1, 32.7, 100
0 0 2, 31.5, 24
2 0 0, 28.6, 24
2 2 2, 60.8, 23
2 0 3, 56.9, 21
2 2 0, 50.6, 20
4 0 1, 61.6, 16
2 0 2, 43.1, 16

a = 7.2176 Å, b = 7.2176 Å, c = 5.6715 Å
α = 90.00°, β = 90.00°, γ = 120.00°
Space group P6_3/mmc (No. 194)
One atom of each set of equivalent atoms:
Nd  0.3333  0.6667  0.2500 [2 per cell]
Er  0.1655  0.3310  0.7500 [6 per cell]

Q: Which formula does entry 1 have?
A: Ho2Er2Au3